Diffraction record for Dy3Al2Ga7. The powder X-ray diffraction pattern is theoretical, not measured: it uses a GGA-PBE-relaxed structure and copper Kα.
Lines closer than 0.1° are merged.

Structure:
```
data_Dy3Al2Ga7
_chemical_formula_sum 'Dy6 Al4 Ga14'
_cell_length_a 4.2181
_cell_length_b 27.4124
_cell_length_c 4.1501
_cell_angle_alpha 90.00
_cell_angle_beta 90.00
_cell_angle_gamma 90.00
_space_group_name_H-M_alt 'C m m m'
_space_group_IT_number 65
_space_group_name_Hall '-C 2 2'
loop_
_atom_site_label
_atom_site_fract_x
_atom_site_fract_y
_atom_site_fract_z
Dy1 0.0000 0.0000 0.0000
Dy2 0.0000 0.1808 0.0000
Al1 0.0000 0.3601 0.5000
Ga1 0.0000 0.0831 0.5000
Ga2 0.0000 0.2716 0.5000
Ga3 0.0000 0.4179 0.0000
Ga4 0.0000 0.5000 0.5000
```

Peak list (8 most intense, 10° ≤ 2θ ≤ 80°, by angle)
2θ/deg  I_rel  index
29.1  22  0 6 1
34.4  100  1 5 1
38.1  17  1 7 1
39.4  14  0 12 0
42.1  16  1 11 0
42.9  22  2 0 0
43.6  21  0 0 2
66.0  15  1 17 1